Theoretical X-ray powder pattern
Compound: Nd2ThZn2
Radiation: Cu Kα (weighted mean of Kα1 and Kα2)
Structure: a structure optimized by DFT (PBE)
No peak broadening, texture or thermal motion is included.

Top 6 peaks for 2θ = 10–90°, in order of rising 2θ:
Position (°2θ)  I_rel
24.3  36
32.6  79
34.5  100
36.3  79
61.8  31
62.0  33

Crystal structure
Unit cell a=3.7576 b=20.1590 c=3.6624 alpha=90.00 beta=90.00 gamma=90.00
Space group Cmmm (No. 65)
Asymmetric unit:
Nd 0.0000 0.1741 0.0000 (multiplicity 4)
Th 0.0000 0.0000 0.0000 (multiplicity 2)
Zn 0.0000 0.4114 0.5000 (multiplicity 4)

=====

Theoretical X-ray powder pattern
Compound: SmIn2AgBr6
Radiation: Cu Kα (weighted mean of Kα1 and Kα2)
Structure: a structure optimized by DFT (PBE)
No peak broadening, texture or thermal motion is included.

Top 6 peaks for 2θ = 10–90°, in order of rising 2θ:
Position (°2θ)  I_rel
22.6  63
23.0  70
27.3  80
32.2  100
32.8  80
41.1  75

Crystal structure
Unit cell a=7.6192 b=8.1180 c=13.1808 alpha=90.00 beta=123.94 gamma=90.00
Space group P2_1/c (No. 14)
Asymmetric unit:
Sm 0.0000 0.0000 0.0000 (multiplicity 2)
In 0.2882 0.0859 0.7602 (multiplicity 4)
Ag 0.5000 0.0000 0.5000 (multiplicity 2)
Br 0.1391 0.0267 0.2518 (multiplicity 4)
Br 0.2409 0.7022 0.0548 (multiplicity 4)
Br 0.3581 0.1896 0.0492 (multiplicity 4)

=====

Theoretical X-ray powder pattern
Compound: YbH3CN3
Radiation: Cu Kα (weighted mean of Kα1 and Kα2)
Structure: a structure optimized by DFT (PBE)
No peak broadening, texture or thermal motion is included.

Top 6 peaks for 2θ = 10–90°, in order of rising 2θ:
Position (°2θ)  I_rel
19.1  100
33.0  68
33.4  28
43.2  30
47.6  24
59.4  22

Crystal structure
Unit cell a=5.3652 b=5.3652 c=6.7023 alpha=90.00 beta=90.00 gamma=120.00
Space group P6_3/m (No. 176)
Asymmetric unit:
Yb 0.0000 0.0000 0.0000 (multiplicity 2)
H 0.0781 0.5898 0.2500 (multiplicity 6)
C 0.3333 0.6667 0.7500 (multiplicity 2)
N 0.1039 0.3924 0.7500 (multiplicity 6)

=====

Theoretical X-ray powder pattern
Compound: BaLiCd4
Radiation: Cu Kα (weighted mean of Kα1 and Kα2)
Structure: a structure optimized by DFT (PBE)
No peak broadening, texture or thermal motion is included.

Top 6 peaks for 2θ = 10–90°, in order of rising 2θ:
Position (°2θ)  I_rel
26.8  34
28.5  48
30.5  39
30.8  100
33.5  45
46.9  36

Crystal structure
Unit cell a=10.3189 b=10.3189 c=12.8024 alpha=90.00 beta=90.00 gamma=90.00
Space group I4/mmm (No. 139)
Asymmetric unit:
Ba 0.0000 0.0000 0.1377 (multiplicity 4)
Ba 0.0000 0.5000 0.2500 (multiplicity 4)
Li 0.0000 0.1752 0.5000 (multiplicity 8)
Cd 0.1321 0.3286 0.0000 (multiplicity 16)
Cd 0.1705 0.1705 0.3223 (multiplicity 16)

=====

Theoretical X-ray powder pattern
Compound: K2LiMnCl6
Radiation: Cu Kα (weighted mean of Kα1 and Kα2)
Structure: a structure optimized by DFT (PBE)
No peak broadening, texture or thermal motion is included.

Top 6 peaks for 2θ = 10–90°, in order of rising 2θ:
Position (°2θ)  I_rel
15.4  42
31.1  100
35.5  40
36.3  72
51.7  45
52.3  21

Crystal structure
Unit cell a=6.9947 b=6.9947 c=10.1218 alpha=90.00 beta=90.00 gamma=90.00
Space group I4 (No. 79)
Asymmetric unit:
K 0.0000 0.5000 0.0000 (multiplicity 4)
Li 0.0000 0.0000 0.2506 (multiplicity 2)
Mn 0.0000 0.0000 0.7505 (multiplicity 2)
Cl 0.0000 0.0000 0.0098 (multiplicity 2)
Cl 0.0000 0.0000 0.4910 (multiplicity 2)
Cl 0.2314 0.7661 0.7505 (multiplicity 8)

=====

Theoretical X-ray powder pattern
Compound: Ti6AgBi
Radiation: Cu Kα (weighted mean of Kα1 and Kα2)
Structure: a structure optimized by DFT (PBE)
No peak broadening, texture or thermal motion is included.

Top 6 peaks for 2θ = 10–90°, in order of rising 2θ:
Position (°2θ)  I_rel
16.9  23
25.2  49
31.1  22
37.6  37
39.2  100
41.7  31

Crystal structure
Unit cell a=4.7791 b=6.2176 c=9.7306 alpha=90.00 beta=90.00 gamma=90.00
Space group Amm2 (No. 38)
Asymmetric unit:
Ti 0.0000 0.0000 0.0000 (multiplicity 2)
Ti 0.0000 0.2265 0.7120 (multiplicity 4)
Ti 0.5000 0.0000 0.2519 (multiplicity 2)
Ti 0.5000 0.2363 0.5327 (multiplicity 4)
Ag 0.5000 0.0000 0.7957 (multiplicity 2)
Bi 0.0000 0.0000 0.4494 (multiplicity 2)

=====

Q: Number 5 is which compound?
A: K2LiMnCl6